Diffraction record for Ba3P2Pd2. The powder diffraction line list is calculated, not measured: it uses DFT lattice parameters and positions (GGA-PBE) and Cu Kα (weighted mean of Kα1 and Kα2).
No peak broadening, texture or thermal motion is included.

Principal peaks in the range 2θ from 10° to 90°, most intense first:
- d = 3.071 Å, 2θ 29.07, I = 100.0, (1 1 2)
- d = 2.945 Å, 2θ 30.35, I = 74.4, (0 1 5)
- d = 3.648 Å, 2θ 24.40, I = 37.1, (1 0 3)
- d = 1.783 Å, 2θ 51.24, I = 33.4, (2 1 5)
- d = 2.359 Å, 2θ 38.16, I = 31.3, (0 2 0)
- d = 2.308 Å, 2θ 39.03, I = 25.7, (1 0 7)

Structure:
```
Ba3P2Pd2
1.0
4.480 0.000 0.000
0.000 4.718 0.000
0.000 0.000 18.844
Ba P Pd
6 4 4
Cartesian
0.000 0.000 0.000
0.000 2.359 5.931
0.000 2.359 12.913
2.240 0.000 3.491
2.240 0.000 15.353
2.240 2.359 9.422
0.000 2.359 2.466
0.000 2.359 16.378
2.240 0.000 6.956
2.240 0.000 11.888
0.000 0.000 7.964
0.000 0.000 10.880
2.240 2.359 1.458
2.240 2.359 17.386
```